[1]
# ZnTe
Simulated powder diffractogram, Cu Kα (weighted mean of Kα1 and Kα2). Input: a cell relaxed with GGA-PBE.
Intensities are scaled so that the largest is 100.

```
ZnTe
1.0
5.7705 0.0000 0.0000
0.0000 5.7705 0.0000
0.0000 0.0000 5.7705
Zn Te
4 4
direct
0.0000 0.0000 0.0000
0.0000 0.5000 0.5000
0.5000 0.0000 0.5000
0.5000 0.5000 0.0000
0.0000 0.0000 0.5000
0.0000 0.5000 0.0000
0.5000 0.0000 0.0000
0.5000 0.5000 0.5000
```

Main lines, sorted by position (10 to 90 degrees two-theta):
- 2θ = 26.76°, I 14
- 2θ = 30.99°, I 100
- 2θ = 44.40°, I 73
- 2θ = 52.60°, I 7
- 2θ = 55.13°, I 25
- 2θ = 64.60°, I 12
- 2θ = 71.23°, I 3
- 2θ = 73.38°, I 32
- 2θ = 81.76°, I 23
- 2θ = 87.93°, I 2

[2]
# NaPr2IrO6
Simulated powder diffractogram, Cu Kα (weighted mean of Kα1 and Kα2). Input: a cell relaxed with GGA-PBE.
Intensities are scaled so that the largest is 100.

```
NaPr2IrO6
1.0
5.5813 0.0000 0.0000
0.0000 6.0108 0.0000
-5.4654 0.0000 8.0567
Na Pr Ir O
2 4 2 12
direct
0.0000 0.0000 0.0000
0.0000 0.5000 0.5000
0.2257 0.0731 0.7468
0.2257 0.4269 0.2468
0.7743 0.5731 0.7532
0.7743 0.9269 0.2532
0.5000 0.0000 0.5000
0.5000 0.5000 0.0000
0.1537 0.1748 0.4483
0.1537 0.3252 0.9483
0.2698 0.7190 0.4336
0.2698 0.7810 0.9336
0.3855 0.0474 0.2675
0.3855 0.4526 0.7675
0.6145 0.5474 0.2325
0.6145 0.9526 0.7325
0.7302 0.2190 0.0664
0.7302 0.2810 0.5664
0.8463 0.6748 0.0517
0.8463 0.8252 0.5517
```

Main lines, sorted by position (10 to 90 degrees two-theta):
- 2θ = 18.42°, I 62
- 2θ = 19.48°, I 35
- 2θ = 29.73°, I 39
- 2θ = 31.00°, I 100
- 2θ = 31.33°, I 98
- 2θ = 32.08°, I 48
- 2θ = 44.30°, I 34
- 2θ = 45.01°, I 27
- 2θ = 56.29°, I 26
- 2θ = 56.91°, I 25

[3]
# Mg17Al11Tl
Simulated powder diffractogram, Cu Kα (weighted mean of Kα1 and Kα2). Input: a cell relaxed with GGA-PBE.
Intensities are scaled so that the largest is 100.

```
Mg17Al11Tl
1.0
5.3224 -7.4770 0.0000
5.3224 7.4770 0.0000
-5.2802 0.0000 7.5395
Mg Al Tl
17 11 1
direct
0.0000 0.0000 0.0000
0.0500 0.3455 0.6653
0.0574 0.6571 0.3469
0.2587 0.9381 0.2594
0.2616 0.2616 0.9484
0.3186 0.6671 0.6692
0.3431 0.6600 0.0590
0.3455 0.0500 0.6653
0.3728 0.9772 0.9810
0.6542 0.6542 0.3185
0.6571 0.0574 0.3469
0.6600 0.3431 0.0590
0.6634 0.6634 0.6652
0.6671 0.3186 0.6692
0.9381 0.2587 0.2594
0.9642 0.9642 0.3763
0.9772 0.3728 0.9810
0.0263 0.6624 0.8477
0.0259 0.8442 0.6622
0.2954 0.4832 0.2923
0.4761 0.8409 0.4787
0.4832 0.2954 0.2923
0.4864 0.4864 0.8659
0.6624 0.0263 0.8477
0.6617 0.8486 0.0305
0.8409 0.4761 0.4787
0.8442 0.0259 0.6622
0.8486 0.6617 0.0305
0.2844 0.2844 0.4861
```

Main lines, sorted by position (10 to 90 degrees two-theta):
- 2θ = 11.78°, I 100
- 2θ = 16.68°, I 24
- 2θ = 20.40°, I 29
- 2θ = 20.52°, I 43
- 2θ = 26.49°, I 26
- 2θ = 35.78°, I 67
- 2θ = 35.86°, I 44
- 2θ = 35.99°, I 33
- 2θ = 39.90°, I 29
- 2θ = 43.41°, I 25

[4]
# CuAsPbO4
Simulated powder diffractogram, Cu Kα (weighted mean of Kα1 and Kα2). Input: a cell relaxed with GGA-PBE.
Intensities are scaled so that the largest is 100.

```
CuAsPbO4
1.0
4.9405 0.0000 0.0000
0.5861 5.9105 0.0000
2.0506 1.4383 7.7146
Cu As Pb O
2 2 2 8
direct
0.1268 0.1915 0.0056
0.8732 0.8085 0.9944
0.0764 0.7991 0.3125
0.9236 0.2009 0.6875
0.4368 0.7103 0.6768
0.5632 0.2897 0.3232
0.0065 0.6307 0.1761
0.2290 0.0928 0.5652
0.2689 0.0332 0.1894
0.2754 0.6257 0.4377
0.7246 0.3743 0.5623
0.7311 0.9668 0.8106
0.7710 0.9072 0.4348
0.9935 0.3693 0.8239
```

Main lines, sorted by position (10 to 90 degrees two-theta):
- 2θ = 11.47°, I 31
- 2θ = 19.39°, I 35
- 2θ = 26.61°, I 35
- 2θ = 27.46°, I 91
- 2θ = 28.04°, I 100
- 2θ = 29.33°, I 77
- 2θ = 30.79°, I 66
- 2θ = 32.88°, I 42
- 2θ = 34.89°, I 44
- 2θ = 42.46°, I 31

[5]
# NaTi8Bi9O30
Simulated powder diffractogram, Cu Kα (weighted mean of Kα1 and Kα2). Input: a cell relaxed with GGA-PBE.
Intensities are scaled so that the largest is 100.

```
NaTi8Bi9O30
1.0
2.7535 -20.2959 0.0000
2.7535 20.2959 0.0000
0.0000 0.0000 5.5090
Na Ti Bi O
1 8 9 30
direct
0.0000 0.0000 0.0000
0.0482 0.9518 0.5000
0.1499 0.8501 0.5000
0.3501 0.6499 0.0000
0.4518 0.5482 0.0000
0.5482 0.4518 0.0000
0.6499 0.3501 0.0000
0.8501 0.1499 0.5000
0.9518 0.0482 0.5000
0.1066 0.8934 0.0000
0.2188 0.7812 0.0000
0.2811 0.7189 0.5000
0.4064 0.5936 0.5000
0.5000 0.5000 0.5000
0.5936 0.4064 0.5000
0.7189 0.2811 0.5000
0.7812 0.2188 0.0000
0.8934 0.1066 0.0000
0.0000 0.0000 0.5000
0.0000 0.5000 0.2501
0.0000 0.5000 0.7499
0.0952 0.9048 0.5000
0.1046 0.3860 0.2453
0.1046 0.3860 0.7547
0.1941 0.8059 0.5000
0.2148 0.3105 0.2626
0.2148 0.3105 0.7374
0.3059 0.6941 0.0000
0.3105 0.2148 0.2626
0.3105 0.2148 0.7374
0.3860 0.1046 0.2453
0.3860 0.1046 0.7547
0.4048 0.5952 0.0000
0.5000 0.0000 0.2501
0.5000 0.0000 0.7499
0.5000 0.5000 0.0000
0.5952 0.4048 0.0000
0.6140 0.8954 0.2453
0.6140 0.8954 0.7547
0.6895 0.7852 0.2626
0.6895 0.7852 0.7374
0.6941 0.3059 0.0000
0.7852 0.6895 0.2626
0.7852 0.6895 0.7374
0.8059 0.1941 0.5000
0.8954 0.6140 0.2453
0.8954 0.6140 0.7547
0.9048 0.0952 0.5000
```

Main lines, sorted by position (10 to 90 degrees two-theta):
- 2θ = 13.09°, I 20
- 2θ = 22.94°, I 22
- 2θ = 27.59°, I 26
- 2θ = 30.32°, I 100
- 2θ = 32.51°, I 52
- 2θ = 39.54°, I 27
- 2θ = 46.64°, I 32
- 2θ = 48.81°, I 13
- 2θ = 52.44°, I 11
- 2θ = 56.65°, I 35

[6]
# Ce3Zn22
Simulated powder diffractogram, Cu Kα (weighted mean of Kα1 and Kα2). Input: a cell relaxed with GGA-PBE.
Intensities are scaled so that the largest is 100.

```
Ce3Zn22
1.0
-4.4478 4.4478 10.6061
4.4478 -4.4478 10.6061
4.4478 4.4478 -10.6061
Ce Zn
6 44
direct
0.1250 0.8750 0.2500
0.2539 0.5039 0.7500
0.4961 0.7461 0.7500
0.5039 0.2539 0.2500
0.7461 0.4961 0.2500
0.8750 0.1250 0.7500
0.0000 0.0000 0.0000
0.0000 0.0000 0.5000
0.0000 0.5000 0.0000
0.0425 0.3190 0.2393
0.0425 0.8032 0.7235
0.1171 0.2196 0.6024
0.1171 0.5147 0.8976
0.1391 0.7373 0.4018
0.1507 0.6232 0.5275
0.1646 0.2627 0.9018
0.1968 0.4203 0.2393
0.1968 0.9575 0.7765
0.2196 0.1171 0.1024
0.2627 0.1646 0.4018
0.2627 0.8609 0.0982
0.3190 0.0425 0.7393
0.3190 0.5797 0.2765
0.3768 0.4042 0.5275
0.3768 0.8493 0.9725
0.4042 0.3768 0.0275
0.4203 0.1968 0.7393
0.4203 0.6810 0.2235
0.4853 0.8829 0.6024
0.5000 0.0000 0.5000
0.5147 0.1171 0.3976
0.5797 0.3190 0.7765
0.5797 0.8032 0.2607
0.5958 0.6232 0.9725
0.6232 0.1507 0.0275
0.6232 0.5958 0.4725
0.6810 0.4203 0.7235
0.6810 0.9575 0.2607
0.7373 0.1391 0.9018
0.7373 0.8354 0.5982
0.7804 0.8829 0.8976
0.8032 0.0425 0.2235
0.8032 0.5797 0.7607
0.8354 0.7373 0.0982
0.8493 0.3768 0.4725
0.8609 0.2627 0.5982
0.8829 0.4853 0.1024
0.8829 0.7804 0.3976
0.9575 0.1968 0.2765
0.9575 0.6810 0.7607
```

Main lines, sorted by position (10 to 90 degrees two-theta):
- 2θ = 30.81°, I 22
- 2θ = 33.81°, I 17
- 2θ = 36.99°, I 33
- 2θ = 38.65°, I 97
- 2θ = 39.57°, I 100
- 2θ = 40.57°, I 69
- 2θ = 42.38°, I 32
- 2θ = 44.70°, I 26
- 2θ = 57.96°, I 20
- 2θ = 73.13°, I 23